Entry 1:
Tb2BeCd: computed powder diffractogram (λ = 1.5418 Å (Cu Kα)), based on a cell relaxed with GGA-PBE.
Kinematic intensities with the Lorentz-polarization factor, no thermal factor.

Structural model:
Cell lengths 5.0856, 5.0856, 3.6616 Å; angles 90.00, 90.00, 90.00 degrees
Element x y z (fractional)
Tb (0.0000, 0.5000, 0.0000)
Tb (0.5000, 0.0000, 0.0000)
Be (0.0000, 0.0000, 0.5000)
Cd (0.5000, 0.5000, 0.5000)

Main lines, sorted by position (15 to 90 degrees two-theta):
two_theta  I (rel.)
24.76  236
34.97  1000
35.30  488
50.78  172
62.51  183
63.14  354

=====

Entry 2:
BeCd3Te4: computed powder diffractogram (λ = 1.5418 Å (Cu Kα)), based on a cell relaxed with GGA-PBE.
Kinematic intensities with the Lorentz-polarization factor, no thermal factor.

Structural model:
Cell lengths 6.3748, 6.3748, 12.6567 Å; angles 90.00, 90.00, 90.00 degrees
Element x y z (fractional)
Be (0.0000, 0.0000, 0.0000)
Be (0.5000, 0.5000, 0.5000)
Cd (0.0000, 0.0000, 0.5000)
Cd (0.0000, 0.5000, 0.2500)
Cd (0.0000, 0.5000, 0.7500)
Cd (0.5000, 0.0000, 0.2500)
Cd (0.5000, 0.0000, 0.7500)
Cd (0.5000, 0.5000, 0.0000)
Te (0.2233, 0.2233, 0.1138)
Te (0.2233, 0.7767, 0.8862)
Te (0.2767, 0.2767, 0.6138)
Te (0.2767, 0.7233, 0.3862)
Te (0.7233, 0.2767, 0.3862)
Te (0.7233, 0.7233, 0.6138)
Te (0.7767, 0.2233, 0.8862)
Te (0.7767, 0.7767, 0.1138)

Main lines, sorted by position (15 to 90 degrees two-theta):
two_theta  I (rel.)
24.24  1000
40.00  235
40.16  474
47.33  274
47.59  140
72.76  121

=====

Entry 3:
BeZnCd: computed powder diffractogram (λ = 1.5418 Å (Cu Kα)), based on a cell relaxed with GGA-PBE.
Kinematic intensities with the Lorentz-polarization factor, no thermal factor.

Structural model:
Cell lengths 2.6807, 4.1030, 4.4729 Å; angles 90.00, 90.00, 90.00 degrees
Element x y z (fractional)
Be (0.0000, 0.0000, 0.0000)
Zn (0.5000, 0.5000, 0.0000)
Cd (0.5000, 0.0000, 0.5000)

Main lines, sorted by position (15 to 90 degrees two-theta):
two_theta  I (rel.)
29.54  1000
33.43  361
40.33  243
44.15  186
45.20  693
53.35  183

=====

Entry 4:
Ce2BeCo6Si: computed powder diffractogram (λ = 1.5418 Å (Cu Kα)), based on a cell relaxed with GGA-PBE.
Kinematic intensities with the Lorentz-polarization factor, no thermal factor.

Structural model:
Cell lengths 5.8516, 5.8516, 5.8516 Å; angles 60.00, 60.00, 60.00 degrees
Element x y z (fractional)
Ce (0.2500, 0.2500, 0.2500)
Ce (0.7500, 0.7500, 0.7500)
Be (0.0000, 0.0000, 0.0000)
Co (0.2404, 0.2404, 0.7596)
Co (0.2404, 0.7596, 0.2404)
Co (0.2404, 0.7596, 0.7596)
Co (0.7596, 0.2404, 0.2404)
Co (0.7596, 0.2404, 0.7596)
Co (0.7596, 0.7596, 0.2404)
Si (0.5000, 0.5000, 0.5000)

Main lines, sorted by position (15 to 90 degrees two-theta):
two_theta  I (rel.)
30.55  253
37.65  1000
43.76  597
63.60  368
76.33  336
80.39  121

=====

Entry 5:
Cs2CeBeO4: computed powder diffractogram (λ = 1.5418 Å (Cu Kα)), based on a cell relaxed with GGA-PBE.
Kinematic intensities with the Lorentz-polarization factor, no thermal factor.

Structural model:
Cell lengths 6.2391, 6.9525, 7.2267 Å; angles 90.00, 90.00, 90.00 degrees
Element x y z (fractional)
Cs (0.2500, 0.0009, 0.2017)
Cs (0.2500, 0.4991, 0.2017)
Cs (0.7500, 0.5009, 0.7983)
Cs (0.7500, 0.9991, 0.7983)
Ce (0.2500, 0.2500, 0.6440)
Ce (0.7500, 0.7500, 0.3560)
Be (0.2500, 0.7500, 0.6545)
Be (0.7500, 0.2500, 0.3455)
O (0.0284, 0.7500, 0.5201)
O (0.2500, 0.5326, 0.7764)
O (0.2500, 0.9674, 0.7764)
O (0.4716, 0.7500, 0.5201)
O (0.5284, 0.2500, 0.4799)
O (0.7500, 0.0326, 0.2236)
O (0.7500, 0.4674, 0.2236)
O (0.9716, 0.2500, 0.4799)

Main lines, sorted by position (15 to 90 degrees two-theta):
two_theta  I (rel.)
24.64  273
28.53  742
28.61  505
31.97  1000
38.11  266
54.92  270

=====

Entry 6:
CeBe2Cu9: computed powder diffractogram (λ = 1.5418 Å (Cu Kα)), based on a cell relaxed with GGA-PBE.
Kinematic intensities with the Lorentz-polarization factor, no thermal factor.

Structural model:
Cell lengths 7.6928, 7.6928, 7.6928 Å; angles 99.91, 99.91, 130.98 degrees
Element x y z (fractional)
Ce (0.3750, 0.6250, 0.7500)
Ce (0.6250, 0.3750, 0.2500)
Be (0.0000, 0.0000, 0.0000)
Be (0.0000, 0.0000, 0.5000)
Be (0.0000, 0.5000, 0.0000)
Be (0.5000, 0.0000, 0.5000)
Cu (0.1250, 0.8750, 0.2500)
Cu (0.1462, 0.5702, 0.3306)
Cu (0.1462, 0.8156, 0.5760)
Cu (0.1844, 0.2604, 0.3306)
Cu (0.1844, 0.8538, 0.9240)
Cu (0.2604, 0.1844, 0.8306)
Cu (0.2604, 0.4298, 0.0760)
Cu (0.4298, 0.2604, 0.5760)
Cu (0.4298, 0.8538, 0.1694)
Cu (0.5702, 0.1462, 0.8306)
Cu (0.5702, 0.7396, 0.4240)
Cu (0.7396, 0.5702, 0.9240)
Cu (0.7396, 0.8156, 0.1694)
Cu (0.8156, 0.1462, 0.0760)
Cu (0.8156, 0.7396, 0.6694)
Cu (0.8538, 0.1844, 0.4240)
Cu (0.8538, 0.4298, 0.6694)
Cu (0.8750, 0.1250, 0.7500)

Main lines, sorted by position (15 to 90 degrees two-theta):
two_theta  I (rel.)
30.50  286
40.36  1000
40.76  797
43.51  243
48.12  360
73.93  259

=====

Entry 7:
CeBe5Cu7: computed powder diffractogram (λ = 1.5418 Å (Cu Kα)), based on a cell relaxed with GGA-PBE.
Kinematic intensities with the Lorentz-polarization factor, no thermal factor.

Structural model:
Cell lengths 6.2564, 6.2564, 6.2564 Å; angles 137.68, 97.12, 97.85 degrees
Element x y z (fractional)
Ce (0.0000, 0.0000, 0.0000)
Be (0.4989, 0.4950, 0.5060)
Be (0.4989, 0.9929, 0.0039)
Be (0.7563, 0.2563, 0.5000)
Be (0.9890, 0.4950, 0.9961)
Be (0.9890, 0.9929, 0.4940)
Cu (0.2088, 0.4898, 0.7189)
Cu (0.2252, 0.7252, 0.5000)
Cu (0.3531, 0.3531, 0.0000)
Cu (0.3535, 0.0008, 0.3527)
Cu (0.6481, 0.0008, 0.6473)
Cu (0.6525, 0.6525, 0.0000)
Cu (0.7709, 0.4898, 0.2811)

Main lines, sorted by position (15 to 90 degrees two-theta):
two_theta  I (rel.)
21.62  810
38.21  844
38.42  505
39.92  820
44.32  924
44.43  1000

=====

Entry 8:
CeBe2CuPd5: computed powder diffractogram (λ = 1.5418 Å (Cu Kα)), based on a cell relaxed with GGA-PBE.
Kinematic intensities with the Lorentz-polarization factor, no thermal factor.

Structural model:
Cell lengths 4.4225, 4.4225, 6.9919 Å; angles 90.00, 90.00, 90.00 degrees
Element x y z (fractional)
Ce (0.0000, 0.0000, 0.0000)
Be (0.5000, 0.5000, 0.3408)
Be (0.5000, 0.5000, 0.6592)
Cu (0.0000, 0.0000, 0.5000)
Pd (0.0000, 0.5000, 0.2874)
Pd (0.0000, 0.5000, 0.7126)
Pd (0.5000, 0.0000, 0.2874)
Pd (0.5000, 0.0000, 0.7126)
Pd (0.5000, 0.5000, 0.0000)

Main lines, sorted by position (15 to 90 degrees two-theta):
two_theta  I (rel.)
31.34  242
38.63  1000
40.81  457
59.08  150
68.41  156
72.84  329